Computed powder XRD pattern
Compound: LuAg4
Radiation: λ = 1.5418 Å (Cu Kα)
Structure: a crystal structure in the Materials Project, relaxed with PBE

The 10 most intense peaks (2θ from 15° to 90°), by intensity:
| Position (°2θ) | I/Imax |
| --- | --- |
| 36.60 | 100 |
| 41.98 | 34 |
| 73.16 | 25 |
| 62.10 | 20 |
| 43.57 | 15 |
| 75.41 | 11 |
| 60.87 | 11 |
| 77.79 | 10 |
| 25.11 | 3 |
| 18.43 | 2 |

Structure:
a b c (Å): 6.806 6.806 4.155
angles (deg): 90.00 90.00 90.00
Space group I4/m (No. 87)
Inequivalent atoms, fractional coordinates:
Lu 0.000 0.000 0.000 (multiplicity 2)
Ag 0.098 0.697 0.500 (multiplicity 8)


Computed powder XRD pattern
Compound: LuMgAg2
Radiation: λ = 1.5418 Å (Cu Kα)
Structure: a crystal structure in the Materials Project, relaxed with PBE

The 10 most intense peaks (2θ from 15° to 90°), by intensity:
| Position (°2θ) | I/Imax |
| --- | --- |
| 36.70 | 100 |
| 66.09 | 34 |
| 22.23 | 28 |
| 52.88 | 17 |
| 89.50 | 16 |
| 43.33 | 15 |
| 78.05 | 11 |
| 58.05 | 7 |
| 82.37 | 5 |
| 70.67 | 5 |

Structure:
a b c (Å): 6.926 6.926 6.926
angles (deg): 90.00 90.00 90.00
Space group Fm-3m (No. 225)
Inequivalent atoms, fractional coordinates:
Lu 0.000 0.000 0.000 (multiplicity 4)
Mg 0.000 0.000 0.500 (multiplicity 4)
Ag 0.250 0.250 0.250 (multiplicity 8)


Computed powder XRD pattern
Compound: LuAgO2
Radiation: λ = 1.5418 Å (Cu Kα)
Structure: a crystal structure in the Materials Project, relaxed with PBE

The 10 most intense peaks (2θ from 15° to 90°), by intensity:
| Position (°2θ) | I/Imax |
| --- | --- |
| 31.67 | 100 |
| 35.85 | 55 |
| 28.54 | 37 |
| 49.56 | 32 |
| 53.58 | 26 |
| 61.82 | 25 |
| 58.19 | 19 |
| 63.59 | 13 |
| 87.79 | 11 |
| 83.81 | 11 |

Structure:
a b c (Å): 3.4210 3.4210 18.7682
angles (deg): 90.00 90.00 120.00
Space group R-3m (No. 166, hexagonal axes)
Inequivalent atoms, fractional coordinates:
Lu 0.0000 0.0000 0.0000 (multiplicity 3)
Ag 0.0000 0.0000 0.5000 (multiplicity 3)
O 0.0000 0.0000 0.3883 (multiplicity 6)


Computed powder XRD pattern
Compound: Lu2AgOs
Radiation: λ = 1.5418 Å (Cu Kα)
Structure: a crystal structure in the Materials Project, relaxed with PBE

The 10 most intense peaks (2θ from 15° to 90°), by intensity:
| Position (°2θ) | I/Imax |
| --- | --- |
| 37.09 | 100 |
| 66.85 | 36 |
| 53.46 | 17 |
| 79.00 | 11 |
| 22.46 | 3 |
| 43.79 | 2 |
| 58.70 | 1 |
| 25.99 | 1 |
| 83.40 | 1 |
| 71.50 | 1 |

Structure:
a b c (Å): 6.856 6.856 6.856
angles (deg): 90.00 90.00 90.00
Space group Fm-3m (No. 225)
Inequivalent atoms, fractional coordinates:
Lu 0.250 0.250 0.250 (multiplicity 8)
Ag 0.000 0.000 0.000 (multiplicity 4)
Os 0.000 0.000 0.500 (multiplicity 4)